[1]
For SrAgAsO, DFT lattice parameters and positions (GGA-PBE) gives the calculated powder XRD pattern in this record (Cu Kα X-rays).

```
SrAgAsO
1.0
4.4974 0.0000 0.0000
0.0000 4.4974 0.0000
0.0000 0.0000 7.9646
Sr Ag As O
2 2 2 2
Cartesian
1.1243 1.1243 0.9289
3.3730 3.3730 7.0358
1.1243 3.3730 3.9823
3.3730 1.1243 3.9823
1.1243 1.1243 5.3557
3.3730 3.3730 2.6089
1.1243 3.3730 0.0000
3.3730 1.1243 0.0000
```

Peak list (10 most intense, 2θ = 10–80°, in order of rising 2θ)
2θ (°)  d_spacing  Rel. int.
11.11  7.965  45
22.32  3.982  21
29.97  2.981  100
30.26  2.953  66
36.15  2.485  70
40.10  2.249  84
44.45  2.038  21
50.86  1.795  45
54.36  1.688  45
58.00  1.590  27



[2]
For Rb2AgAsS4, DFT lattice parameters and positions (GGA-PBE) gives the calculated powder XRD pattern in this record (Cu Kα X-rays).

```
Rb2AgAsS4
1.0
6.8436 0.0000 0.0000
-2.5228 6.5993 0.0000
-3.4104 -2.4775 10.3717
Rb Ag As S
4 2 2 8
Cartesian
-0.7285 -0.6180 3.2214
0.1891 4.5681 1.0195
0.7214 -0.4463 9.3522
1.6390 4.7398 7.1503
-0.9268 2.9427 4.2918
1.8373 1.1791 6.0799
-1.6223 2.4113 7.6152
2.5328 1.7105 2.7565
-3.7002 1.7916 8.1010
1.4539 1.2645 0.9220
-0.6660 0.7860 6.4578
-1.6711 4.2310 6.3785
2.5816 -0.1092 3.9932
1.5765 3.3358 3.9140
-0.5434 2.8573 9.4497
4.6107 2.3302 2.2707
```

Peak list (10 most intense, 2θ = 10–80°, in order of rising 2θ)
2θ (°)  d_spacing  Rel. int.
13.80  6.419  32
24.19  3.679  67
24.61  3.618  62
25.60  3.480  100
27.42  3.253  61
28.62  3.119  65
29.12  3.066  37
31.51  2.839  45
32.17  2.782  94
33.39  2.683  58



[3]
For RbAg2As3Se6, DFT lattice parameters and positions (GGA-PBE) gives the calculated powder XRD pattern in this record (Cu Kα X-rays).

```
RbAg2As3Se6
1.0
10.0587 0.0000 0.0000
0.0000 7.6847 0.0000
-9.9048 0.0000 17.4708
Rb Ag As Se
4 8 12 24
Cartesian
-0.0461 1.3469 2.9303
-4.9985 2.4955 11.6657
5.1524 5.1892 5.8050
0.1999 6.3378 14.5404
3.5102 0.1004 0.0000
-1.4422 3.7420 8.7354
0.3858 0.2870 7.3149
-4.5666 3.5553 16.0503
4.7205 4.1294 1.4204
-0.2320 7.3976 10.1558
1.5961 3.9427 8.7354
6.5485 7.5843 0.0000
-3.0233 1.1476 6.1637
-7.9757 2.6947 14.8991
1.3363 4.7242 1.4120
-3.6161 6.8028 10.1474
0.7542 4.8229 4.8256
-4.1982 6.7040 13.5609
4.3521 0.9806 3.9098
-0.6003 2.8617 12.6452
3.7699 0.8819 7.3234
-1.1825 2.9605 16.0588
8.1295 4.9900 2.5717
3.1771 6.5370 11.3070
-9.2861 1.5616 16.6459
-4.3337 2.2808 7.9105
-6.2276 5.3429 13.3799
-1.2752 6.1841 4.6445
-7.0512 5.2986 17.1187
-2.0988 6.2284 8.3833
-5.9214 1.5215 15.1946
-0.9689 2.3208 6.4592
-2.6814 5.5227 12.0193
2.2710 6.0042 3.2839
3.4526 1.9041 1.8902
-1.4998 1.9382 10.6256
1.6536 5.7464 6.8452
-3.2988 5.7806 15.5806
-2.1172 1.6804 14.1868
2.8352 2.1619 5.4515
1.1228 5.3639 11.0115
6.0752 6.1631 2.2762
2.2526 1.4563 9.0874
7.2050 2.3861 0.3520
1.4290 1.5006 12.8263
6.3815 2.3417 4.0909
4.4875 5.4039 9.5602
9.4400 6.1231 0.8249
```

Peak list (10 most intense, 2θ = 10–80°, in order of rising 2θ)
2θ (°)  d_spacing  Rel. int.
10.13  8.729  61
15.37  5.766  43
25.33  3.517  51
28.05  3.181  36
29.38  3.040  81
29.48  3.030  70
29.59  3.019  100
30.77  2.906  36
39.81  2.264  45
47.80  1.903  37



[4]
For Re3AgAs5, DFT lattice parameters and positions (GGA-PBE) gives the calculated powder XRD pattern in this record (Cu Kα X-rays).

```
Re3AgAs5
1.0
5.3213 0.0000 0.0000
-2.6607 4.6084 0.0000
0.0000 0.0000 7.5417
Re Ag As
3 1 5
Cartesian
-1.3303 2.3042 0.0000
2.6607 0.0000 0.0000
1.3303 2.3042 0.0000
0.0000 0.0000 3.7708
0.0000 0.0000 0.0000
0.0000 3.0723 2.1429
0.0000 3.0723 5.3988
2.6607 1.5361 2.1429
2.6607 1.5361 5.3988
```

Peak list (10 most intense, 2θ = 10–80°, in order of rising 2θ)
2θ (°)  d_spacing  Rel. int.
11.73  7.542  100
22.61  3.932  24
23.59  3.771  22
35.75  2.512  35
39.09  2.304  29
40.94  2.204  59
46.17  1.966  81
54.00  1.698  17
63.78  1.459  16
70.83  1.330  16



[5]
For Ag3AsS3, DFT lattice parameters and positions (GGA-PBE) gives the calculated powder XRD pattern in this record (Cu Kα X-rays).

```
Ag3AsS3
1.0
6.0647 -3.2068 0.0000
6.0647 3.2068 0.0000
-5.8656 0.0000 16.1204
Ag As S
12 4 12
Cartesian
1.9746 2.6591 9.0564
-2.5768 0.2137 11.5209
1.3564 2.6591 15.1241
0.3560 -0.2137 3.4607
0.6385 0.2357 10.1857
3.5713 -0.2357 2.1255
2.6925 0.2357 13.9948
5.6253 -0.2357 5.9347
5.9079 0.2137 12.6597
4.9074 -2.6591 0.9963
8.8407 -0.2137 4.5995
4.2892 -2.6591 7.0639
-1.1387 0.3468 14.9562
1.7941 -0.3468 6.8960
4.4697 0.3468 9.2243
7.4026 -0.3468 1.1641
-3.0625 0.9089 13.8493
1.7567 1.9753 6.6622
0.3494 0.9293 13.3270
-0.1296 -0.9089 5.7891
7.4399 1.9753 1.3980
2.9816 0.9293 10.8536
3.2822 -0.9293 5.2668
-1.1761 -1.9753 14.7224
6.3935 0.9089 10.3313
5.9144 -0.9293 2.7934
4.5071 -1.9753 9.4582
9.3263 -0.9089 2.2711
```

Peak list (10 most intense, 2θ = 10–80°, in order of rising 2θ)
2θ (°)  d_spacing  Rel. int.
15.87  5.584  24
22.03  4.035  25
26.21  3.400  31
27.82  3.207  51
29.42  3.036  84
29.70  3.008  100
31.39  2.850  57
31.59  2.832  44
32.44  2.760  24
45.31  2.002  25



[6]
For Ag7AsS6, DFT lattice parameters and positions (GGA-PBE) gives the calculated powder XRD pattern in this record (Cu Kα X-rays).

```
Ag7AsS6
1.0
10.6108 0.0000 0.0000
0.0000 10.6108 0.0000
0.0000 0.0000 10.6108
Ag As S
28 4 24
Cartesian
0.1290 1.5969 8.7494
0.3037 7.8183 2.7340
1.0705 4.2349 6.3759
1.5969 8.7494 0.1290
1.8614 5.4344 3.7085
2.5129 2.5714 10.3071
2.5714 10.3071 2.5129
2.7340 0.3037 7.8183
2.7925 8.0394 5.0017
3.4440 5.1764 9.0139
3.7085 1.8614 5.4344
4.2349 6.3759 1.0705
5.0017 2.7925 8.0394
5.1764 9.0139 3.4440
5.4344 3.7085 1.8614
5.6091 8.0979 7.8768
6.3759 1.0705 4.2349
6.9023 7.1668 10.4818
7.1668 10.4818 6.9023
7.8183 2.7340 0.3037
7.8768 5.6091 8.0979
8.0394 5.0017 2.7925
8.0979 7.8768 5.6091
8.7494 0.1290 1.5969
9.0139 3.4440 5.1764
9.5403 9.5403 9.5403
10.3071 2.5129 2.5714
10.4818 6.9023 7.1668
0.0288 10.5820 5.2766
5.2766 0.0288 10.5820
5.3342 5.3342 5.3342
10.5820 5.2766 0.0288
0.3224 0.3224 0.3224
1.2213 9.2417 6.5714
1.2660 4.0841 1.3692
1.2582 6.5637 9.3526
1.3692 1.2660 4.0841
2.4734 2.8320 7.7788
2.8320 7.7788 2.4734
3.9363 9.3449 9.3895
4.0472 4.0472 4.0472
4.0394 6.5267 6.6746
4.0841 1.3692 1.2660
4.9830 10.2884 5.6278
5.6278 4.9830 10.2884
6.5267 6.6746 4.0394
6.5714 1.2213 9.2417
6.5637 9.3526 1.2582
6.6746 4.0394 6.5267
7.7788 2.4734 2.8320
8.1374 8.1374 8.1374
9.2417 6.5714 1.2213
9.3526 1.2582 6.5637
9.3449 9.3895 3.9363
9.3895 3.9363 9.3449
10.2884 5.6278 4.9830
```

Peak list (10 most intense, 2θ = 10–80°, in order of rising 2θ)
2θ (°)  d_spacing  Rel. int.
14.46  6.126  20
25.18  3.537  35
29.15  3.063  100
30.37  2.943  34
31.55  2.836  43
35.91  2.501  51
38.89  2.315  27
43.49  2.081  21
44.36  2.042  27
48.53  1.876  31



[7]
For AgAsS6, DFT lattice parameters and positions (GGA-PBE) gives the calculated powder XRD pattern in this record (Cu Kα X-rays).

```
AgAsS6
1.0
0.0000 4.3724 4.3724
4.3724 0.0000 4.3724
4.3724 4.3724 0.0000
Ag As S
1 1 6
Cartesian
0.0000 0.0000 0.0000
6.5587 6.5587 6.5587
4.3724 4.3724 2.5252
4.3724 2.5252 4.3724
6.2197 4.3724 4.3724
2.5252 4.3724 4.3724
4.3724 6.2197 4.3724
4.3724 4.3724 6.2197
```

Peak list (10 most intense, 2θ = 10–80°, in order of rising 2θ)
2θ (°)  d_spacing  Rel. int.
17.57  5.049  77
20.31  4.372  56
28.88  3.092  68
34.00  2.637  100
35.56  2.524  26
41.30  2.186  84
45.20  2.006  80
54.53  1.683  31
59.83  1.546  45
67.77  1.383  21



[8]
For Ag3AsS3, DFT lattice parameters and positions (GGA-PBE) gives the calculated powder XRD pattern in this record (Cu Kα X-rays).

```
Ag3AsS3
1.0
5.5859 3.2250 2.9422
-5.5859 3.2250 2.9422
0.0000 -6.4500 2.9422
Ag As S
6 2 6
Cartesian
-0.8428 -2.9630 2.9422
-3.4412 -1.0136 4.4132
-2.1447 2.2114 2.9422
2.5984 -2.4734 4.4132
2.9874 0.7516 2.9422
0.8428 3.4870 4.4132
0.0000 0.0000 0.6406
0.0000 0.0000 5.0539
-0.0283 -4.4243 4.6944
-3.8174 2.2367 4.6944
-1.7685 -0.9883 6.1654
1.7402 -1.0374 6.1654
0.0283 2.0257 6.1654
3.8457 2.1876 4.6944
```

Peak list (10 most intense, 2θ = 10–80°, in order of rising 2θ)
2θ (°)  d_spacing  Rel. int.
26.38  3.378  93
27.35  3.260  88
31.78  2.816  74
34.45  2.603  60
34.95  2.567  100
39.30  2.293  27
45.76  1.983  27
53.41  1.715  27
53.78  1.705  31
59.68  1.549  28



[9]
For Tl3Ag3As2S6, DFT lattice parameters and positions (GGA-PBE) gives the calculated powder XRD pattern in this record (Cu Kα X-rays).

```
Tl3Ag3As2S6
1.0
11.3065 0.0000 0.0000
0.0000 12.0356 0.0000
-6.0601 0.0000 10.4460
Tl Ag As S
12 12 8 24
Cartesian
0.4713 3.0081 2.3613
-2.5588 3.0097 7.5843
-0.6433 6.1859 4.9727
-3.6734 11.8674 10.1957
1.7463 7.4050 1.1790
-1.2837 10.6484 6.4020
6.5302 1.3872 4.0439
3.5001 4.6306 9.2669
8.9198 0.1681 0.2503
5.8898 5.8496 5.4733
7.8052 9.0259 2.8616
4.7752 9.0275 8.0846
-1.2758 1.8369 4.4628
-4.3058 4.1809 9.6858
4.9896 7.5437 0.4820
1.9595 10.5097 5.7050
2.7233 7.7228 4.4522
-0.3068 10.3305 9.6752
5.5532 1.7050 0.7707
2.5232 4.3127 5.9937
3.2869 1.5259 4.7409
0.2569 4.4919 9.9639
9.5523 7.8547 0.7602
6.5222 10.1987 5.9832
-2.7793 7.2110 7.8947
0.2508 10.8424 2.6718
1.0835 1.7263 7.7752
4.1135 4.2915 2.5523
1.1329 7.7441 7.8937
4.1629 10.3093 2.6707
4.9956 1.1932 7.7742
8.0257 4.8246 2.5512
-3.3449 8.1718 5.8660
-0.3149 9.8816 0.6430
-4.8359 6.4063 8.4797
-1.8058 11.6471 3.2567
-2.5321 8.9819 9.3112
0.4980 9.0715 4.0882
0.8669 0.9948 5.6107
3.8969 5.0230 0.3877
-0.8006 0.8961 8.7850
2.2295 5.1217 3.5620
3.4993 2.1295 2.2597
0.4693 3.8883 7.4827
4.7772 8.1473 2.9632
1.7471 9.9061 8.1862
3.0170 6.9139 6.8839
6.0470 11.1395 1.6610
1.3495 7.0126 10.0583
4.3796 11.0408 4.8353
4.7484 2.9641 6.3577
7.7785 3.0537 1.1347
7.0523 0.3885 7.1892
10.0823 5.6293 1.9663
5.5613 2.1540 9.8030
8.5914 3.8638 4.5800
```

Peak list (10 most intense, 2θ = 10–80°, in order of rising 2θ)
2θ (°)  d_spacing  Rel. int.
22.54  3.944  51
22.98  3.869  49
23.77  3.744  52
23.98  3.712  59
27.36  3.260  100
28.14  3.171  39
29.64  3.014  97
30.41  2.939  83
32.18  2.781  45
33.38  2.684  50



[10]
For ScAg2As, DFT lattice parameters and positions (GGA-PBE) gives the calculated powder XRD pattern in this record (Cu Kα X-rays).

```
ScAg2As
1.0
0.0000 3.3260 3.3260
3.3260 0.0000 3.3260
3.3260 3.3260 0.0000
Sc Ag As
1 2 1
Cartesian
0.0000 0.0000 0.0000
1.6630 1.6630 1.6630
3.3260 3.3260 3.3260
4.9890 4.9890 4.9890
```

Peak list (8 most intense, 2θ = 10–80°, in order of rising 2θ)
2θ (°)  d_spacing  Rel. int.
23.16  3.841  12
26.80  3.326  1
38.27  2.352  100
45.21  2.006  6
55.24  1.663  16
60.68  1.526  2
69.19  1.358  32
74.05  1.280  2



Question: Which formula does entry 1 have?
Answer: SrAgAsO